Nb8Au2C3N3: computed X-ray diffraction stick pattern (Cu Kα (λ = 1.5418 Å)), based on DFT lattice parameters and positions (PBE).

a b c (Å): 3.1822 3.1822 24.0490
angles (deg): 90.00 90.00 120.00
Space group P-3m1 (No. 164)
Asymmetric unit:
Nb1 0.0000 0.0000 0.1521 [2 per cell]
Nb2 0.0000 0.0000 0.3420 [2 per cell]
Nb3 0.3333 0.6667 0.5556 [2 per cell]
Nb4 0.3333 0.6667 0.9432 [2 per cell]
Au1 0.3333 0.6667 0.7538 [2 per cell]
C1 0.0000 0.0000 0.5000 [1 per cell]
C2 0.3333 0.6667 0.3901 [2 per cell]
N1 0.0000 0.0000 0.0000 [1 per cell]
N2 0.3333 0.6667 0.1085 [2 per cell]

Largest 10 diffraction maxima, in order of rising 2θ, 2θ from 10° to 80°:
32.71°, d = 2.738 Å, intensity 59, hkl 1 0 1
35.84°, d = 2.505 Å, intensity 52, hkl 1 0 4
37.39°, d = 2.405 Å, intensity 39, hkl 0 0 10
37.62°, d = 2.391 Å, intensity 100, hkl 0 1 5
39.69°, d = 2.271 Å, intensity 85, hkl 1 0 6
53.50°, d = 1.713 Å, intensity 27, hkl 1 0 11
57.96°, d = 1.591 Å, intensity 45, hkl 1 1 0
71.04°, d = 1.327 Å, intensity 36, hkl 1 1 10
71.18°, d = 1.325 Å, intensity 15, hkl 2 0 5
71.50°, d = 1.320 Å, intensity 15, hkl 1 0 16